For Nb2CdPd, the GGA-PBE geometry in Alexandria gives the calculated powder diffractogram in this record (copper Kα).
Peak positions follow from Bragg's law for the DFT cell and can differ from measured ones.

Most intense lines, 15 to 90 degrees two-theta, by angle:
| d/Å | 2θ/deg | I (rel.) |
| --- | --- | --- |
| 2.563 | 35.01 | 1 |
| 2.354 | 38.24 | 100 |
| 2.227 | 40.51 | 17 |
| 1.718 | 53.33 | 8 |
| 1.617 | 56.97 | 12 |
| 1.387 | 67.54 | 7 |
| 1.360 | 69.05 | 7 |
| 1.358 | 69.20 | 12 |
| 1.309 | 72.16 | 12 |
| 1.177 | 81.81 | 8 |
| 1.175 | 82.00 | 2 |
| 1.114 | 87.63 | 2 |

Atomic structure:
a = 4.454 Å, b = 3.436 Å, c = 9.400 Å
α = 90.00°, β = 90.00°, γ = 90.00°
Atoms (fractional coordinates):
Nb (0.250, 0.000, 0.119)
Nb (0.250, 0.500, 0.876)
Nb (0.750, 0.000, 0.881)
Nb (0.750, 0.500, 0.124)
Cd (0.250, 0.500, 0.387)
Cd (0.750, 0.500, 0.613)
Pd (0.250, 0.000, 0.641)
Pd (0.750, 0.000, 0.359)